Simulated PXRD pattern
Compound: CrBi14O24
Radiation: Cu Kα (weighted mean of Kα1 and Kα2)
Structure: a structure optimized by DFT (GGA+U)
Neutral-atom scattering factors, no anomalous dispersion.

Principal peaks in the range 2θ from 10° to 80°, low angle first:
| Position (°2θ) | I/Imax | (hkl) |
| --- | --- | --- |
| 27.43 | 99.8 | 1 3 1 |
| 27.62 | 100.0 | 3 3 -2 |
| 31.09 | 31.5 | 0 6 0 |
| 32.23 | 26.4 | 2 0 -3 |
| 32.34 | 25.2 | 4 0 -1 |
| 45.39 | 30.2 | 2 6 -3 |
| 45.48 | 29.1 | 4 6 -1 |
| 53.11 | 16.9 | 1 9 1 |
| 53.22 | 16.8 | 3 9 -2 |
| 54.63 | 14.1 | 5 3 0 |

Cell and atoms:
Unit cell a=12.3392 b=17.2593 c=8.7550 alpha=90.00 beta=134.62 gamma=90.00
Space group C2 (No. 5)
One atom of each set of equivalent atoms:
Cr 0.0000 0.0000 0.0000 (multiplicity 2)
Bi 0.0000 0.3459 0.0000 (multiplicity 2)
Bi 0.0000 0.6647 0.0000 (multiplicity 2)
Bi 0.0628 0.5040 0.3566 (multiplicity 4)
Bi 0.1085 0.1749 0.4024 (multiplicity 4)
Bi 0.1098 0.8370 0.4031 (multiplicity 4)
Bi 0.2042 0.6742 0.8131 (multiplicity 4)
Bi 0.2069 0.3377 0.8139 (multiplicity 4)
Bi 0.2160 0.0061 0.7731 (multiplicity 4)
O 0.0000 0.1008 0.0000 (multiplicity 2)
O 0.0000 0.1238 0.5000 (multiplicity 2)
O 0.0000 0.3873 0.5000 (multiplicity 2)
O 0.0000 0.6244 0.5000 (multiplicity 2)
O 0.0000 0.8882 0.5000 (multiplicity 2)
O 0.0000 0.8889 0.0000 (multiplicity 2)
O 0.0797 0.2590 0.8326 (multiplicity 4)
O 0.0798 0.7528 0.8331 (multiplicity 4)
O 0.1255 0.5856 0.9426 (multiplicity 4)
O 0.1259 0.4259 0.9412 (multiplicity 4)
O 0.1821 0.4268 0.3045 (multiplicity 4)
O 0.1833 0.9847 0.2579 (multiplicity 4)
O 0.1842 0.5840 0.3091 (multiplicity 4)
O 0.2454 0.2592 0.3263 (multiplicity 4)
O 0.2466 0.7519 0.3284 (multiplicity 4)